Diffraction record for In2RhF. The X-ray powder pattern is calculated, not measured: it uses the PBE geometry in Alexandria and Cu Kα, 1.54184 Å.

Crystal structure
a = 6.6826 Å, b = 6.6826 Å, c = 6.7091 Å
α = 90.00°, β = 90.00°, γ = 90.00°
Positions (direct):
In: 0.2203 0.2500 0.1250
In: 0.2500 0.7203 0.3750
In: 0.2500 0.7797 0.8750
In: 0.2797 0.2500 0.6250
In: 0.7203 0.7500 0.6250
In: 0.7500 0.2203 0.8750
In: 0.7500 0.2797 0.3750
In: 0.7797 0.7500 0.1250
Rh: 0.0000 0.0000 0.5000
Rh: 0.0000 0.5000 0.7500
Rh: 0.5000 0.0000 0.2500
Rh: 0.5000 0.5000 0.0000
F: 0.0000 0.0000 0.0000
F: 0.0000 0.5000 0.2500
F: 0.5000 0.0000 0.7500
F: 0.5000 0.5000 0.5000

Most intense lines, 2θ = 5–70°, in order of rising 2θ:
- 2θ 32.8, I = 1000
- 2θ 38.1, I = 453
- 2θ 51.1, I = 417
- 2θ 55.0, I = 137
- 2θ 61.9, I = 216
- 2θ 65.4, I = 134

---

Diffraction record for InSbF. The X-ray powder pattern is calculated, not measured: it uses the PBE geometry in Alexandria and Cu Kα, 1.54184 Å.

Crystal structure
a = 5.6445 Å, b = 7.3420 Å, c = 9.5604 Å
α = 90.00°, β = 125.11°, γ = 90.00°
Positions (direct):
In: 0.0727 0.2071 0.1160
In: 0.0727 0.2929 0.6160
In: 0.9273 0.7071 0.3840
In: 0.9273 0.7929 0.8840
Sb: 0.4021 0.5507 0.1008
Sb: 0.4021 0.9493 0.6008
Sb: 0.5979 0.0507 0.3992
Sb: 0.5979 0.4493 0.8992
F: 0.1014 0.0826 0.9145
F: 0.1014 0.4174 0.4145
F: 0.8986 0.5826 0.5855
F: 0.8986 0.9174 0.0855

Most intense lines, 2θ = 5–70°, in order of rising 2θ:
- 2θ 19.8, I = 532
- 2θ 23.0, I = 1000
- 2θ 30.1, I = 725
- 2θ 31.1, I = 832
- 2θ 39.7, I = 481
- 2θ 40.3, I = 528

---

Diffraction record for InSb3F18. The X-ray powder pattern is calculated, not measured: it uses the PBE geometry in Alexandria and Cu Kα, 1.54184 Å.

Crystal structure
a = 9.0594 Å, b = 9.0594 Å, c = 9.7493 Å
α = 90.00°, β = 90.00°, γ = 120.00°
Positions (direct):
In: 0.0000 0.0000 0.0000
In: 0.0000 0.0000 0.5000
Sb: 0.0000 0.3439 0.2500
Sb: 0.0000 0.6561 0.7500
Sb: 0.3439 0.0000 0.2500
Sb: 0.3439 0.3439 0.7500
Sb: 0.6561 0.0000 0.7500
Sb: 0.6561 0.6561 0.2500
F: 0.0848 0.2149 0.3699
F: 0.0848 0.8699 0.8699
F: 0.0969 0.5257 0.3753
F: 0.0969 0.5712 0.8753
F: 0.1301 0.2149 0.8699
F: 0.1301 0.9152 0.3699
F: 0.2039 0.4177 0.1507
F: 0.2039 0.7862 0.6507
F: 0.2138 0.4177 0.6507
F: 0.2138 0.7961 0.1507
F: 0.2149 0.0848 0.1301
F: 0.2149 0.1301 0.6301
F: 0.4177 0.2039 0.3493
F: 0.4177 0.2138 0.8493
F: 0.4288 0.5257 0.8753
F: 0.4288 0.9031 0.3753
F: 0.4743 0.5712 0.3753
F: 0.4743 0.9031 0.8753
F: 0.5257 0.0969 0.1247
F: 0.5257 0.4288 0.6247
F: 0.5712 0.0969 0.6247
F: 0.5712 0.4743 0.1247
F: 0.5823 0.7862 0.1507
F: 0.5823 0.7961 0.6507
F: 0.7851 0.8699 0.3699
F: 0.7851 0.9152 0.8699
F: 0.7862 0.2039 0.8493
F: 0.7862 0.5823 0.3493
F: 0.7961 0.2138 0.3493
F: 0.7961 0.5823 0.8493
F: 0.8699 0.0848 0.6301
F: 0.8699 0.7851 0.1301
F: 0.9031 0.4288 0.1247
F: 0.9031 0.4743 0.6247
F: 0.9152 0.1301 0.1301
F: 0.9152 0.7851 0.6301

Most intense lines, 2θ = 5–70°, in order of rising 2θ:
- 2θ 11.3, I = 256
- 2θ 21.6, I = 1000
- 2θ 26.9, I = 457
- 2θ 34.0, I = 224
- 2θ 39.1, I = 228
- 2θ 51.2, I = 313

---

Diffraction record for InSn2F6. The X-ray powder pattern is calculated, not measured: it uses the PBE geometry in Alexandria and Cu Kα, 1.54184 Å.

Crystal structure
a = 10.7100 Å, b = 10.7100 Å, c = 5.4007 Å
α = 90.00°, β = 90.00°, γ = 147.57°
Positions (direct):
In: 0.0000 0.0000 0.0000
In: 0.5000 0.5000 0.5000
Sn: 0.1631 0.8369 0.5063
Sn: 0.3369 0.6631 0.0063
Sn: 0.6631 0.3369 0.9937
Sn: 0.8369 0.1631 0.4937
F: 0.0373 0.4627 0.2500
F: 0.0992 0.9008 0.8017
F: 0.1986 0.3014 0.7500
F: 0.3014 0.1986 0.2500
F: 0.4008 0.5992 0.3017
F: 0.4627 0.0373 0.7500
F: 0.5373 0.9627 0.2500
F: 0.5992 0.4008 0.6983
F: 0.6986 0.8014 0.7500
F: 0.8014 0.6986 0.2500
F: 0.9008 0.0992 0.1983
F: 0.9627 0.5373 0.7500

Most intense lines, 2θ = 5–70°, in order of rising 2θ:
- 2θ 25.7, I = 1000
- 2θ 26.0, I = 176
- 2θ 40.0, I = 150
- 2θ 42.6, I = 168
- 2θ 45.7, I = 227
- 2θ 50.6, I = 161

---

Diffraction record for InSnF3. The X-ray powder pattern is calculated, not measured: it uses the PBE geometry in Alexandria and Cu Kα, 1.54184 Å.

Crystal structure
a = 8.1386 Å, b = 8.1386 Å, c = 7.0291 Å
α = 90.00°, β = 90.00°, γ = 153.73°
Positions (direct):
In: 0.1044 0.8956 0.5000
In: 0.8956 0.1044 0.0000
Sn: 0.3596 0.6404 0.4943
Sn: 0.6404 0.3596 0.9943
F: 0.0437 0.9563 0.0303
F: 0.1987 0.8013 0.8383
F: 0.4235 0.5765 0.2259
F: 0.5765 0.4235 0.7259
F: 0.8013 0.1987 0.3383
F: 0.9563 0.0437 0.5303

Most intense lines, 2θ = 5–70°, in order of rising 2θ:
- 2θ 22.4, I = 805
- 2θ 25.3, I = 738
- 2θ 27.8, I = 1000
- 2θ 32.2, I = 767
- 2θ 34.1, I = 535
- 2θ 39.6, I = 412

---

Diffraction record for In2SnF. The X-ray powder pattern is calculated, not measured: it uses the PBE geometry in Alexandria and Cu Kα, 1.54184 Å.

Crystal structure
a = 5.4303 Å, b = 5.4303 Å, c = 14.9104 Å
α = 90.00°, β = 90.00°, γ = 90.00°
Positions (direct):
In: 0.1553 0.2500 0.1250
In: 0.2500 0.6553 0.3750
In: 0.2500 0.8447 0.8750
In: 0.3447 0.2500 0.6250
In: 0.6553 0.7500 0.6250
In: 0.7500 0.1553 0.8750
In: 0.7500 0.3447 0.3750
In: 0.8447 0.7500 0.1250
Sn: 0.0000 0.0000 0.5000
Sn: 0.0000 0.5000 0.7500
Sn: 0.5000 0.0000 0.2500
Sn: 0.5000 0.5000 0.0000
F: 0.0000 0.0000 0.0000
F: 0.0000 0.5000 0.2500
F: 0.5000 0.0000 0.7500
F: 0.5000 0.5000 0.5000

Most intense lines, 2θ = 5–70°, in order of rising 2θ:
- 2θ 24.3, I = 384
- 2θ 26.1, I = 1000
- 2θ 34.3, I = 161
- 2θ 37.5, I = 410
- 2θ 41.1, I = 468
- 2θ 43.4, I = 253